Record 1
Structure and calculated powder diffraction line list of Na4GaCu2Si (DFT lattice parameters and positions (GGA-PBE); Cu Kα, 1.54184 Å).
Kinematic intensities with the Lorentz-polarization factor, no thermal factor.

The 10 most intense peaks (2θ from 15° to 90°), low angle first:
2θ (°)	Rel. int.	h k l
23.3	24	1 0 1
30.2	4	1 1 1
38.5	100	2 0 0
45.5	11	2 1 1
55.6	16	2 2 0
61.1	4	3 0 1
69.7	30	3 1 2
74.6	3	3 2 1
82.5	9	4 0 0
87.2	3	4 1 1

Cell lengths 4.6753, 4.6753, 6.6140 Å; angles 90.00, 90.00, 90.00 degrees
Element x y z (fractional)
Na: 0.0000 0.0000 0.0000
Na: 0.0000 0.5000 0.2470
Na: 0.5000 0.0000 0.7530
Na: 0.5000 0.5000 0.5000
Ga: 0.0000 0.0000 0.5000
Cu: 0.0000 0.5000 0.7647
Cu: 0.5000 0.0000 0.2353
Si: 0.5000 0.5000 0.0000

=====

Record 2
Structure and calculated powder diffraction line list of NaGa2CuTe4 (DFT lattice parameters and positions (GGA-PBE); Cu Kα, 1.54184 Å).
Kinematic intensities with the Lorentz-polarization factor, no thermal factor.

The 10 most intense peaks (2θ from 15° to 90°), low angle first:
2θ (°)	Rel. int.	h k l
15.6	8	1 0 1
24.5	100	1 1 2
27.8	7	2 0 0
39.7	24	2 2 0
40.9	43	2 0 4
47.2	30	1 3 2
49.3	13	1 1 6
57.4	8	4 0 0
65.1	10	3 1 6
72.9	13	2 4 4

Cell lengths 6.4172, 6.4172, 12.1395 Å; angles 90.00, 90.00, 90.00 degrees
Element x y z (fractional)
Na: 0.0000 0.0000 0.0000
Na: 0.5000 0.5000 0.5000
Ga: 0.0000 0.0000 0.5000
Ga: 0.0000 0.5000 0.7500
Ga: 0.5000 0.0000 0.2500
Ga: 0.5000 0.5000 0.0000
Cu: 0.0000 0.5000 0.2500
Cu: 0.5000 0.0000 0.7500
Te: 0.2269 0.7656 0.3645
Te: 0.2344 0.2269 0.6355
Te: 0.2656 0.2731 0.1355
Te: 0.2731 0.7344 0.8645
Te: 0.7269 0.2656 0.8645
Te: 0.7344 0.7269 0.1355
Te: 0.7656 0.7731 0.6355
Te: 0.7731 0.2344 0.3645

=====

Record 3
Structure and calculated powder diffraction line list of NdGa3Cu (DFT lattice parameters and positions (GGA-PBE); Cu Kα, 1.54184 Å).
Kinematic intensities with the Lorentz-polarization factor, no thermal factor.

The 10 most intense peaks (2θ from 15° to 90°), low angle first:
2θ (°)	Rel. int.	h k l
29.7	15	1 1 0
33.4	54	1 0 3
34.5	100	1 1 2
42.6	54	2 0 0
48.9	25	1 0 5
55.2	25	2 1 3
61.7	17	2 2 0
62.0	12	1 1 6
66.8	19	2 1 5
72.7	26	3 1 2

Cell lengths 4.2492, 4.2492, 10.3586 Å; angles 90.00, 90.00, 90.00 degrees
Element x y z (fractional)
Nd: 0.0000 0.0000 0.0000
Nd: 0.5000 0.5000 0.5000
Ga: 0.0000 0.0000 0.4078
Ga: 0.0000 0.5000 0.2519
Ga: 0.0000 0.5000 0.7519
Ga: 0.5000 0.0000 0.2519
Ga: 0.5000 0.0000 0.7519
Ga: 0.5000 0.5000 0.9078
Cu: 0.0000 0.0000 0.6374
Cu: 0.5000 0.5000 0.1374

=====

Record 4
Structure and calculated powder diffraction line list of NdGaCu2Ni2 (DFT lattice parameters and positions (GGA-PBE); Cu Kα, 1.54184 Å).
Kinematic intensities with the Lorentz-polarization factor, no thermal factor.

The 10 most intense peaks (2θ from 15° to 90°), low angle first:
2θ (°)	Rel. int.	h k l
29.7	47	1 1 1
34.9	17	2 0 0
35.4	28	1 3 0
40.7	32	2 2 0
41.3	18	0 4 0
41.5	47	2 0 1
42.0	100	1 3 1
44.3	40	0 0 2
61.8	18	2 2 2
67.4	23	3 3 1

Cell lengths 5.1419, 8.7341, 4.0859 Å; angles 90.00, 90.00, 90.00 degrees
Element x y z (fractional)
Nd: 0.0000 0.0000 0.0000
Nd: 0.5000 0.5000 0.0000
Ga: 0.0000 0.5000 0.5000
Ga: 0.5000 0.0000 0.5000
Cu: 0.0000 0.3286 0.0000
Cu: 0.0000 0.6714 0.0000
Cu: 0.5000 0.1714 0.0000
Cu: 0.5000 0.8286 0.0000
Ni: 0.2500 0.2500 0.5000
Ni: 0.2500 0.7500 0.5000
Ni: 0.7500 0.2500 0.5000
Ni: 0.7500 0.7500 0.5000

=====

Record 5
Structure and calculated powder diffraction line list of NdGa2Cu2Ni (DFT lattice parameters and positions (GGA-PBE); Cu Kα, 1.54184 Å).
Kinematic intensities with the Lorentz-polarization factor, no thermal factor.

The 10 most intense peaks (2θ from 15° to 90°), low angle first:
2θ (°)	Rel. int.	h k l
29.0	34	1 1 1
29.6	27	0 2 1
35.2	27	1 3 0
39.6	39	2 2 0
40.1	54	2 0 1
41.5	100	1 3 1
43.4	39	0 0 2
60.1	30	2 2 2
65.4	21	3 3 1
78.3	16	1 3 3

Cell lengths 5.3410, 8.7126, 4.1720 Å; angles 90.00, 90.00, 90.00 degrees
Element x y z (fractional)
Nd: 0.0000 0.0000 0.0000
Nd: 0.5000 0.5000 0.0000
Ga: 0.2500 0.2500 0.5000
Ga: 0.2500 0.7500 0.5000
Ga: 0.7500 0.2500 0.5000
Ga: 0.7500 0.7500 0.5000
Cu: 0.0000 0.3434 0.0000
Cu: 0.0000 0.6566 0.0000
Cu: 0.5000 0.1566 0.0000
Cu: 0.5000 0.8434 0.0000
Ni: 0.0000 0.5000 0.5000
Ni: 0.5000 0.0000 0.5000

=====

Record 6
Structure and calculated powder diffraction line list of NdZn2GaCu2 (DFT lattice parameters and positions (GGA-PBE); Cu Kα, 1.54184 Å).
Kinematic intensities with the Lorentz-polarization factor, no thermal factor.

The 10 most intense peaks (2θ from 15° to 90°), low angle first:
2θ (°)	Rel. int.	h k l
28.9	42	1 1 1
33.8	29	2 0 0
39.3	36	2 2 0
40.3	100	1 3 1
43.4	27	0 0 2
56.1	13	2 0 2
59.9	21	2 2 2
65.0	16	3 3 1
77.5	12	1 3 3
87.1	13	2 6 2

Cell lengths 5.2899, 9.1851, 4.1729 Å; angles 90.00, 90.00, 90.00 degrees
Element x y z (fractional)
Nd: 0.0000 0.0000 0.0000
Nd: 0.5000 0.5000 0.0000
Zn: 0.2500 0.2500 0.5000
Zn: 0.2500 0.7500 0.5000
Zn: 0.7500 0.2500 0.5000
Zn: 0.7500 0.7500 0.5000
Ga: 0.0000 0.5000 0.5000
Ga: 0.5000 0.0000 0.5000
Cu: 0.0000 0.3334 0.0000
Cu: 0.0000 0.6666 0.0000
Cu: 0.5000 0.1666 0.0000
Cu: 0.5000 0.8334 0.0000

=====

Record 7
Structure and calculated powder diffraction line list of NdZnGa2Cu2 (DFT lattice parameters and positions (GGA-PBE); Cu Kα, 1.54184 Å).
Kinematic intensities with the Lorentz-polarization factor, no thermal factor.

The 10 most intense peaks (2θ from 15° to 90°), low angle first:
2θ (°)	Rel. int.	h k l
29.0	63	0 2 1
33.6	29	1 3 0
38.8	38	2 2 0
40.1	52	2 0 1
40.2	100	1 3 1
43.9	39	0 0 2
60.0	21	2 2 2
64.4	24	3 3 1
78.2	22	2 0 3
87.0	20	2 6 2

Cell lengths 5.3640, 9.2279, 4.1264 Å; angles 90.00, 90.00, 90.00 degrees
Element x y z (fractional)
Nd: 0.0000 0.0000 0.0000
Nd: 0.5000 0.5000 0.0000
Zn: 0.0000 0.5000 0.5000
Zn: 0.5000 0.0000 0.5000
Ga: 0.2500 0.2500 0.5000
Ga: 0.2500 0.7500 0.5000
Ga: 0.7500 0.2500 0.5000
Ga: 0.7500 0.7500 0.5000
Cu: 0.0000 0.3337 0.0000
Cu: 0.0000 0.6663 0.0000
Cu: 0.5000 0.1663 0.0000
Cu: 0.5000 0.8337 0.0000

=====

Record 8
Structure and calculated powder diffraction line list of Zr2Ga2Cu2NiPd (DFT lattice parameters and positions (GGA-PBE); Cu Kα, 1.54184 Å).
Kinematic intensities with the Lorentz-polarization factor, no thermal factor.

The 10 most intense peaks (2θ from 15° to 90°), low angle first:
2θ (°)	Rel. int.	h k l
24.6	3	1 0 1
32.0	2	1 1 1
40.6	100	1 1 2
40.9	49	2 0 0
58.3	8	0 0 4
59.3	16	2 2 0
73.7	15	2 0 4
74.3	31	3 1 2
87.9	10	2 2 4
88.8	5	4 0 0

Cell lengths 4.4091, 4.4091, 6.3332 Å; angles 90.00, 90.00, 90.00 degrees
Element x y z (fractional)
Zr: 0.0000 0.5000 0.2374
Zr: 0.5000 0.0000 0.7626
Ga: 0.0000 0.5000 0.7575
Ga: 0.5000 0.0000 0.2425
Cu: 0.0000 0.0000 0.0000
Cu: 0.5000 0.5000 0.5000
Ni: 0.5000 0.5000 0.0000
Pd: 0.0000 0.0000 0.5000